The following is a calculated PXRD pattern of Ho2ErMoO6. It was derived from a DFT-relaxed cell (PBE+U, Alexandria), using CuKα.
Neutral-atom scattering factors, no anomalous dispersion.

Most intense lines, 2θ = 10–90°, in order of rising 2θ:
d 4.120, 2θ 21.57, rel. 22, (0 1 2); d 2.985, 2θ 29.94, rel. 100, (1 0 4); d 2.846, 2θ 31.43, rel. 99, (1 1 0); d 2.060, 2θ 43.96, rel. 40, (0 2 4); d 1.878, 2θ 48.46, rel. 35, (2 -1 6); d 1.669, 2θ 55.03, rel. 40, (3 -1 4); d 1.643, 2θ 55.95, rel. 28, (3 0 0); d 1.435, 2θ 64.98, rel. 12, (1 0 10); d 1.423, 2θ 65.60, rel. 13, (2 2 0); d 1.285, 2θ 73.76, rel. 15, (1 3 4)

Atomic structure:
```
data_Ho2ErMoO6
_symmetry_space_group_name_H-M 'R 3'
_symmetry_Int_Tables_number 146
_symmetry_space_group_name_Hall 'R 3'
_cell_length_a 5.6926
_cell_length_b 5.6926
_cell_length_c 15.0012
_cell_angle_alpha 90.00
_cell_angle_beta 90.00
_cell_angle_gamma 120.00
loop_
_atom_site_label
_atom_site_fract_x
_atom_site_fract_y
_atom_site_fract_z
Ho1 0.0000 0.0000 0.0000
Ho2 0.0000 0.0000 0.4946
Er1 0.0000 0.0000 0.2139
Mo1 0.0000 0.0000 0.7052
O1 0.0436 0.3613 0.7747
O2 0.0476 0.6770 0.2763
```